Theoretical X-ray powder pattern of Ag4SBr3 for Cu Kα (weighted mean of Kα1 and Kα2), from a crystal structure in Alexandria, relaxed with GGA-PBE.
Neutral-atom scattering factors, no anomalous dispersion.

Peak list (12 most intense, 2θ = 10–80°, in order of rising 2θ)
d/Å, Rel. int.
6.773, 56
4.042, 36
3.387, 43
3.146, 45
3.022, 32
2.854, 68
2.810, 64
2.518, 100
2.420, 96
2.255, 71
2.060, 65
1.680, 55

Cell and atoms:
a b c (Å): 5.0364 12.0892 6.7732
angles (deg): 90.00 90.00 90.00
Element x y z (fractional)
Ag 0.2500 0.1002 0.0862
Ag 0.2500 0.2500 0.7067
Ag 0.2500 0.3998 0.0862
Ag 0.2500 0.7500 0.7213
Ag 0.7500 0.2500 0.2787
Ag 0.7500 0.6002 0.9138
Ag 0.7500 0.7500 0.2933
Ag 0.7500 0.8998 0.9138
S 0.2500 0.2500 0.3289
S 0.7500 0.7500 0.6711
Br 0.2500 0.5025 0.7448
Br 0.2500 0.7500 0.1638
Br 0.2500 0.9975 0.7448
Br 0.7500 0.0025 0.2552
Br 0.7500 0.2500 0.8362
Br 0.7500 0.4975 0.2552



Theoretical X-ray powder pattern of Pm2NdZn2 for Cu Kα (weighted mean of Kα1 and Kα2), from a crystal structure in Alexandria, relaxed with GGA-PBE.
Neutral-atom scattering factors, no anomalous dispersion.

Peak list (12 most intense, 2θ = 10–80°, in order of rising 2θ)
d/Å, Rel. int.
3.681, 7
3.441, 17
2.718, 19
2.654, 100
2.646, 28
1.896, 13
1.858, 10
1.557, 8
1.529, 18
1.521, 10
1.415, 7
1.327, 8

Cell and atoms:
a b c (Å): 3.7155 5.2929 13.7187
angles (deg): 90.00 97.82 90.00
Element x y z (fractional)
Pm 0.0464 0.2500 0.0924
Pm 0.2318 0.2500 0.4644
Pm 0.7682 0.7500 0.5356
Pm 0.9536 0.7500 0.9076
Nd 0.1439 0.7500 0.2837
Nd 0.8561 0.2500 0.7163
Zn 0.3590 0.7500 0.7206
Zn 0.4513 0.2500 0.9043
Zn 0.5487 0.7500 0.0957
Zn 0.6410 0.2500 0.2794



Theoretical X-ray powder pattern of Mg3NiAu for Cu Kα (weighted mean of Kα1 and Kα2), from a crystal structure in Alexandria, relaxed with GGA-PBE.
Neutral-atom scattering factors, no anomalous dispersion.

Peak list (12 most intense, 2θ = 10–80°, in order of rising 2θ)
d/Å, Rel. int.
4.721, 21
3.338, 100
2.726, 31
2.361, 41
2.111, 12
1.927, 43
1.669, 28
1.574, 6
1.493, 19
1.423, 13
1.363, 9
1.262, 22

Cell and atoms:
a b c (Å): 4.7211 4.7211 4.7211
angles (deg): 90.00 90.00 90.00
Element x y z (fractional)
Mg 0.0000 0.0000 0.5000
Mg 0.0000 0.5000 0.0000
Mg 0.5000 0.0000 0.0000
Ni 0.0000 0.0000 0.0000
Au 0.5000 0.5000 0.5000



Theoretical X-ray powder pattern of Hf4PN for Cu Kα (weighted mean of Kα1 and Kα2), from a crystal structure in Alexandria, relaxed with GGA-PBE.
Neutral-atom scattering factors, no anomalous dispersion.

Peak list (12 most intense, 2θ = 10–80°, in order of rising 2θ)
d/Å, Rel. int.
2.981, 10
2.797, 45
2.631, 100
2.502, 36
2.040, 11
1.978, 16
1.648, 22
1.581, 17
1.491, 8
1.440, 8
1.420, 12
1.357, 14

Cell and atoms:
a b c (Å): 6.6106 6.6106 6.6106
angles (deg): 106.50 106.50 115.59
Element x y z (fractional)
Hf 0.1918 0.0000 0.1918
Hf 0.1943 0.4851 0.2909
Hf 0.1943 0.9034 0.7091
Hf 0.2351 0.4443 0.7909
Hf 0.6534 0.4443 0.2091
Hf 0.7500 0.0582 0.3082
Hf 0.7500 0.4418 0.6918
Hf 0.8082 0.0000 0.8082
P 0.4609 0.9609 0.5000
P 0.7109 0.7109 0.0000
N 0.2350 0.2350 0.0000
N 0.9850 0.4850 0.5000



Theoretical X-ray powder pattern of Ac2Se5 for Cu Kα (weighted mean of Kα1 and Kα2), from a crystal structure in Alexandria, relaxed with GGA-PBE.
Neutral-atom scattering factors, no anomalous dispersion.

Peak list (12 most intense, 2θ = 10–80°, in order of rising 2θ)
d/Å, Rel. int.
3.967, 33
3.838, 46
3.246, 42
2.987, 57
2.843, 78
2.575, 100
2.464, 36
2.424, 55
2.273, 23
2.117, 67
1.773, 29
1.497, 22

Cell and atoms:
a b c (Å): 22.8202 22.8202 4.2331
angles (deg): 90.00 90.00 169.36
Element x y z (fractional)
Ac 0.1022 0.8978 0.7500
Ac 0.3065 0.6935 0.7500
Ac 0.6935 0.3065 0.2500
Ac 0.8978 0.1022 0.2500
Se 0.0470 0.9530 0.2500
Se 0.1755 0.8245 0.7500
Se 0.2500 0.7500 0.2500
Se 0.3770 0.6230 0.7500
Se 0.4529 0.5471 0.2500
Se 0.5471 0.4529 0.7500
Se 0.6230 0.3770 0.2500
Se 0.7500 0.2500 0.7500
Se 0.8245 0.1755 0.2500
Se 0.9530 0.0470 0.7500



Theoretical X-ray powder pattern of LiPaN2 for Cu Kα (weighted mean of Kα1 and Kα2), from a crystal structure in Alexandria, relaxed with GGA-PBE.
Neutral-atom scattering factors, no anomalous dispersion.

Peak list (12 most intense, 2θ = 10–80°, in order of rising 2θ)
d/Å, Rel. int.
5.021, 100
3.023, 80
2.856, 60
2.510, 15
2.387, 58
2.156, 29
1.782, 24
1.765, 20
1.679, 32
1.607, 17
1.453, 18
1.428, 11

Cell and atoms:
a b c (Å): 5.4262 5.4262 5.4262
angles (deg): 38.34 38.34 38.34
Element x y z (fractional)
Li 0.0000 0.0000 0.0000
Pa 0.5000 0.5000 0.5000
N 0.2356 0.2356 0.2356
N 0.7644 0.7644 0.7644



Theoretical X-ray powder pattern of Ti8Os2N for Cu Kα (weighted mean of Kα1 and Kα2), from a crystal structure in Alexandria, relaxed with GGA-PBE.
Neutral-atom scattering factors, no anomalous dispersion.

Peak list (12 most intense, 2θ = 10–80°, in order of rising 2θ)
d/Å, Rel. int.
3.529, 58
3.513, 83
3.415, 38
3.188, 61
2.523, 43
2.450, 83
2.310, 100
2.277, 94
2.112, 93
2.063, 63
1.866, 56
1.707, 40

Cell and atoms:
a b c (Å): 7.5125 7.5125 5.5244
angles (deg): 109.74 109.74 35.29
Element x y z (fractional)
Ti 0.0221 0.0221 0.2936
Ti 0.2152 0.2152 0.7819
Ti 0.3598 0.3598 0.5383
Ti 0.4178 0.4178 0.0950
Ti 0.5822 0.5822 0.9050
Ti 0.6402 0.6402 0.4617
Ti 0.7848 0.7848 0.2181
Ti 0.9779 0.9779 0.7064
Os 0.1651 0.1651 0.1650
Os 0.8349 0.8349 0.8350
N 0.5000 0.5000 0.5000



Theoretical X-ray powder pattern of TiRe2As4 for Cu Kα (weighted mean of Kα1 and Kα2), from a crystal structure in Alexandria, relaxed with GGA-PBE.
Neutral-atom scattering factors, no anomalous dispersion.

Peak list (12 most intense, 2θ = 10–80°, in order of rising 2θ)
d/Å, Rel. int.
6.130, 100
2.833, 19
2.738, 33
2.602, 80
2.281, 17
2.184, 17
2.113, 34
2.057, 15
2.049, 37
2.005, 15
1.757, 19
1.584, 15

Cell and atoms:
a b c (Å): 6.9038 6.9038 6.3474
angles (deg): 113.51 113.51 26.53
Element x y z (fractional)
Ti 0.0000 0.0000 0.0000
Re 0.2551 0.2551 0.3180
Re 0.7449 0.7449 0.6820
As 0.0985 0.0985 0.4430
As 0.3532 0.3532 0.0359
As 0.6468 0.6468 0.9641
As 0.9015 0.9015 0.5570



Theoretical X-ray powder pattern of Ba6Pd2Pt for Cu Kα (weighted mean of Kα1 and Kα2), from a crystal structure in Alexandria, relaxed with GGA-PBE.
Neutral-atom scattering factors, no anomalous dispersion.

Peak list (12 most intense, 2θ = 10–80°, in order of rising 2θ)
d/Å, Rel. int.
6.594, 57
4.274, 30
3.537, 50
3.499, 100
2.744, 37
2.727, 68
2.302, 49
2.270, 23
2.120, 23
1.911, 17
1.749, 19
1.458, 28

Cell and atoms:
a b c (Å): 8.0104 7.5360 15.8019
angles (deg): 90.00 120.45 90.00
Element x y z (fractional)
Ba 0.0031 0.2420 0.3356
Ba 0.0031 0.2580 0.8356
Ba 0.3303 0.7232 0.9998
Ba 0.3303 0.7768 0.4998
Ba 0.3325 0.2403 0.6649
Ba 0.3325 0.2597 0.1649
Ba 0.6675 0.7403 0.8351
Ba 0.6675 0.7597 0.3351
Ba 0.6697 0.2232 0.5002
Ba 0.6697 0.2768 0.0002
Ba 0.9969 0.7420 0.1644
Ba 0.9969 0.7580 0.6644
Pd 0.3245 0.0007 0.3247
Pd 0.3245 0.4993 0.8247
Pd 0.6755 0.5007 0.1753
Pd 0.6755 0.9993 0.6753
Pt 0.0000 0.0000 0.5000
Pt 0.0000 0.5000 0.0000